The following is a simulated PXRD pattern of AcPtS6. It was derived from a cell relaxed with GGA-PBE, using Cu Kα (λ = 1.5418 Å).
Lines closer than 0.1° are merged.

Structural model:
a b c (Å): 5.216 5.737 6.995
angles (deg): 80.67 76.27 76.35
Element x y z (fractional)
Ac: 0.000 0.000 0.000
Pt: 0.500 0.500 0.000
S: 0.090 0.731 0.625
S: 0.291 0.428 0.758
S: 0.373 0.163 0.198
S: 0.627 0.837 0.802
S: 0.709 0.572 0.242
S: 0.910 0.269 0.375

The 6 most intense peaks (2θ from 10° to 90°), by angle:
- 2θ 13.11, I = 1000
- 2θ 21.45, I = 285
- 2θ 26.46, I = 358
- 2θ 28.02, I = 251
- 2θ 29.51, I = 299
- 2θ 30.52, I = 258

The following is a simulated PXRD pattern of Ac3Pt2S. It was derived from a cell relaxed with GGA-PBE, using Cu Kα (λ = 1.5418 Å).
Lines closer than 0.1° are merged.

Structural model:
a b c (Å): 4.395 4.395 9.856
angles (deg): 102.87 102.87 90.01
Element x y z (fractional)
Ac: 0.000 0.000 0.000
Ac: 0.330 0.330 0.658
Ac: 0.670 0.670 0.342
Pt: 0.161 0.161 0.324
Pt: 0.839 0.839 0.676
S: 0.500 0.500 0.000

The 6 most intense peaks (2θ from 10° to 90°), by angle:
- 2θ 28.68, I = 864
- 2θ 28.73, I = 434
- 2θ 41.03, I = 1000
- 2θ 50.84, I = 360
- 2θ 67.36, I = 317
- 2θ 74.79, I = 234

The following is a simulated PXRD pattern of Ac8Pt4Se3S. It was derived from a cell relaxed with GGA-PBE, using Cu Kα (λ = 1.5418 Å).
Lines closer than 0.1° are merged.

Structural model:
a b c (Å): 9.221 9.221 9.221
angles (deg): 56.27 56.27 56.27
Element x y z (fractional)
Ac: 0.240 0.745 0.745
Ac: 0.242 0.242 0.242
Ac: 0.255 0.255 0.760
Ac: 0.255 0.760 0.255
Ac: 0.745 0.240 0.745
Ac: 0.745 0.745 0.240
Ac: 0.758 0.758 0.758
Ac: 0.760 0.255 0.255
Pt: 0.000 0.000 0.500
Pt: 0.000 0.500 0.000
Pt: 0.500 0.000 0.000
Pt: 0.500 0.500 0.500
Se: 0.000 0.500 0.500
Se: 0.500 0.000 0.500
Se: 0.500 0.500 0.000
S: 0.000 0.000 0.000

The 6 most intense peaks (2θ from 10° to 90°), by angle:
- 2θ 11.44, I = 173
- 2θ 28.25, I = 1000
- 2θ 39.20, I = 398
- 2θ 41.53, I = 367
- 2θ 50.99, I = 200
- 2θ 67.79, I = 173

The following is a simulated PXRD pattern of Ac6Te3PtS2. It was derived from a cell relaxed with GGA-PBE, using Cu Kα (λ = 1.5418 Å).
Lines closer than 0.1° are merged.

Structural model:
a b c (Å): 7.808 7.808 8.087
angles (deg): 99.34 99.34 119.88
Element x y z (fractional)
Ac: 0.072 0.402 0.220
Ac: 0.256 0.256 0.778
Ac: 0.402 0.072 0.220
Ac: 0.598 0.928 0.780
Ac: 0.744 0.744 0.222
Ac: 0.928 0.598 0.780
Te: 0.170 0.830 0.500
Te: 0.500 0.500 0.500
Te: 0.830 0.170 0.500
Pt: 0.000 0.000 0.000
S: 0.334 0.666 0.000
S: 0.666 0.334 0.000

The 6 most intense peaks (2θ from 10° to 90°), by angle:
- 2θ 24.07, I = 259
- 2θ 27.58, I = 511
- 2θ 27.65, I = 1000
- 2θ 38.95, I = 536
- 2θ 39.98, I = 590
- 2θ 49.28, I = 316

The following is a simulated PXRD pattern of AcSbPt2. It was derived from a cell relaxed with GGA-PBE, using Cu Kα (λ = 1.5418 Å).
Lines closer than 0.1° are merged.

Structural model:
a b c (Å): 4.573 4.573 19.954
angles (deg): 90.00 90.00 90.00
Element x y z (fractional)
Ac: 0.104 0.864 0.000
Ac: 0.136 0.104 0.250
Ac: 0.864 0.896 0.750
Ac: 0.896 0.136 0.500
Sb: 0.328 0.364 0.847
Sb: 0.364 0.672 0.597
Sb: 0.636 0.328 0.097
Sb: 0.672 0.636 0.347
Pt: 0.137 0.566 0.139
Pt: 0.357 0.634 0.467
Pt: 0.366 0.357 0.717
Pt: 0.434 0.137 0.389
Pt: 0.566 0.863 0.889
Pt: 0.634 0.643 0.217
Pt: 0.643 0.366 0.967
Pt: 0.863 0.434 0.639

The 6 most intense peaks (2θ from 10° to 90°), by angle:
- 2θ 21.38, I = 435
- 2θ 29.03, I = 630
- 2θ 30.75, I = 714
- 2θ 33.01, I = 488
- 2θ 37.17, I = 399
- 2θ 39.68, I = 1000

The following is a simulated PXRD pattern of AcSb3Pt. It was derived from a cell relaxed with GGA-PBE, using Cu Kα (λ = 1.5418 Å).
Lines closer than 0.1° are merged.

Structural model:
a b c (Å): 6.382 6.325 7.063
angles (deg): 90.00 94.38 90.00
Element x y z (fractional)
Ac: 0.156 0.000 0.187
Ac: 0.844 0.500 0.813
Sb: 0.110 0.952 0.690
Sb: 0.311 0.575 0.504
Sb: 0.332 0.484 0.055
Sb: 0.668 0.984 0.945
Sb: 0.689 0.075 0.496
Sb: 0.890 0.452 0.310
Pt: 0.401 0.254 0.738
Pt: 0.599 0.754 0.262

The 6 most intense peaks (2θ from 10° to 90°), by angle:
- 2θ 18.86, I = 154
- 2θ 24.09, I = 216
- 2θ 29.92, I = 168
- 2θ 31.46, I = 1000
- 2θ 41.59, I = 316
- 2θ 52.02, I = 145

The following is a simulated PXRD pattern of Sr2AcSb3Pt4. It was derived from a cell relaxed with GGA-PBE, using Cu Kα (λ = 1.5418 Å).
Lines closer than 0.1° are merged.

Structural model:
a b c (Å): 4.769 4.769 11.447
angles (deg): 90.00 90.00 90.00
Element x y z (fractional)
Sr: 0.000 0.500 0.213
Sr: 0.500 0.000 0.787
Ac: 0.000 0.000 0.500
Sb: 0.000 0.500 0.884
Sb: 0.500 0.000 0.116
Sb: 0.500 0.500 0.500
Pt: 0.000 0.000 0.000
Pt: 0.000 0.500 0.655
Pt: 0.500 0.000 0.345
Pt: 0.500 0.500 0.000

The 6 most intense peaks (2θ from 10° to 90°), by angle:
- 2θ 15.48, I = 259
- 2θ 20.17, I = 291
- 2θ 30.77, I = 1000
- 2θ 37.72, I = 680
- 2θ 41.38, I = 579
- 2θ 63.82, I = 253

The following is a simulated PXRD pattern of Ac5PtSe4. It was derived from a cell relaxed with GGA-PBE, using Cu Kα (λ = 1.5418 Å).
Lines closer than 0.1° are merged.

Structural model:
a b c (Å): 16.181 16.181 16.181
angles (deg): 164.14 164.14 22.50
Element x y z (fractional)
Ac: 0.000 0.000 0.000
Ac: 0.203 0.203 0.000
Ac: 0.403 0.403 0.000
Ac: 0.597 0.597 0.000
Ac: 0.797 0.797 0.000
Pt: 0.500 0.500 0.000
Se: 0.103 0.103 0.000
Se: 0.303 0.303 0.000
Se: 0.697 0.697 0.000
Se: 0.897 0.897 0.000

The 6 most intense peaks (2θ from 10° to 90°), by angle:
- 2θ 24.38, I = 373
- 2θ 28.11, I = 499
- 2θ 28.27, I = 1000
- 2θ 40.30, I = 764
- 2θ 40.41, I = 389
- 2θ 49.95, I = 417

The following is a simulated PXRD pattern of Ac4TePtSe2. It was derived from a cell relaxed with GGA-PBE, using Cu Kα (λ = 1.5418 Å).
Lines closer than 0.1° are merged.

Structural model:
a b c (Å): 7.927 4.436 8.070
angles (deg): 90.00 108.93 90.00
Element x y z (fractional)
Ac: 0.233 0.000 0.223
Ac: 0.261 0.500 0.764
Ac: 0.739 0.500 0.236
Ac: 0.767 0.000 0.777
Te: 0.000 0.000 0.500
Pt: 0.000 0.500 0.000
Se: 0.500 0.000 0.000
Se: 0.500 0.500 0.500

The 6 most intense peaks (2θ from 10° to 90°), by angle:
- 2θ 27.41, I = 533
- 2θ 27.80, I = 1000
- 2θ 38.74, I = 189
- 2θ 39.17, I = 394
- 2θ 39.70, I = 399
- 2θ 49.75, I = 216

The following is a simulated PXRD pattern of AcSi3Pt2. It was derived from a cell relaxed with GGA-PBE, using Cu Kα (λ = 1.5418 Å).
Lines closer than 0.1° are merged.

Structural model:
a b c (Å): 12.968 12.968 12.968
angles (deg): 160.92 160.92 27.12
Element x y z (fractional)
Ac: 0.148 0.148 0.000
Ac: 0.852 0.852 0.000
Si: 0.046 0.546 0.500
Si: 0.303 0.303 0.000
Si: 0.454 0.954 0.500
Si: 0.546 0.046 0.500
Si: 0.697 0.697 0.000
Si: 0.954 0.454 0.500
Pt: 0.250 0.750 0.500
Pt: 0.407 0.407 0.000
Pt: 0.593 0.593 0.000
Pt: 0.750 0.250 0.500

The 6 most intense peaks (2θ from 10° to 90°), by angle:
- 2θ 32.43, I = 446
- 2θ 32.70, I = 1000
- 2θ 42.03, I = 436
- 2θ 44.81, I = 196
- 2θ 54.07, I = 215
- 2θ 70.91, I = 222

The following is a simulated PXRD pattern of Ac2Si6Pt3. It was derived from a cell relaxed with GGA-PBE, using Cu Kα (λ = 1.5418 Å).
Lines closer than 0.1° are merged.

Structural model:
a b c (Å): 7.578 7.578 4.351
angles (deg): 90.00 90.00 120.00
Element x y z (fractional)
Ac: 0.333 0.667 0.000
Ac: 0.667 0.333 0.000
Si: 0.000 0.188 0.000
Si: 0.000 0.669 0.500
Si: 0.188 0.000 0.000
Si: 0.331 0.331 0.500
Si: 0.669 0.000 0.500
Si: 0.812 0.812 0.000
Pt: 0.000 0.332 0.500
Pt: 0.332 0.000 0.500
Pt: 0.668 0.668 0.500

The 6 most intense peaks (2θ from 10° to 90°), by angle:
- 2θ 23.48, I = 298
- 2θ 31.30, I = 1000
- 2θ 41.27, I = 370
- 2θ 52.69, I = 247
- 2θ 59.97, I = 251
- 2θ 69.04, I = 236

The following is a simulated PXRD pattern of Ac2SiPt5. It was derived from a cell relaxed with GGA-PBE, using Cu Kα (λ = 1.5418 Å).
Lines closer than 0.1° are merged.

Structural model:
a b c (Å): 6.529 6.529 6.529
angles (deg): 124.48 124.48 82.40
Element x y z (fractional)
Ac: 0.000 0.500 0.500
Ac: 0.500 0.000 0.500
Si: 0.321 0.321 0.000
Pt: 0.519 0.519 0.530
Pt: 0.519 0.989 0.000
Pt: 0.560 0.560 0.000
Pt: 0.989 0.519 0.000
Pt: 0.989 0.989 0.470

The 6 most intense peaks (2θ from 10° to 90°), by angle:
- 2θ 17.15, I = 157
- 2θ 34.69, I = 1000
- 2θ 36.58, I = 192
- 2θ 42.02, I = 333
- 2θ 56.91, I = 210
- 2θ 72.05, I = 229